(1)
Diffraction record for YZr2Ir. The powder XRD pattern is computed, not measured: it uses a crystal structure in OQMD, relaxed with GGA-PBE and Cu Kα (weighted mean of Kα1 and Kα2).
Intensities are scaled so that the largest is 100.

Atomic structure:
```
YZr2Ir
1.0
0.0000 3.4683 3.4683
3.4683 0.0000 3.4683
3.4683 3.4683 0.0000
Y Zr Ir
1 2 1
Direct
0.0000 0.0000 0.0000
0.5000 0.5000 0.5000
0.7500 0.7500 0.7500
0.2500 0.2500 0.2500
```

Most intense lines, 2θ = 10–90°, in order of falling intensity:
| 2theta | d [Å] | Rel. int. |
| --- | --- | --- |
| 36.6 | 2.452 | 100 |
| 66.0 | 1.416 | 35 |
| 52.8 | 1.734 | 17 |
| 89.3 | 1.097 | 16 |
| 77.9 | 1.226 | 11 |
| 22.2 | 4.005 | 10 |
| 43.3 | 2.091 | 5 |
| 25.7 | 3.468 | 5 |
| 58.0 | 1.591 | 2 |
| 59.6 | 1.551 | 2 |

=====

(2)
Diffraction record for ZnIr17. The powder XRD pattern is computed, not measured: it uses a crystal structure in OQMD, relaxed with GGA-PBE and Cu Kα (weighted mean of Kα1 and Kα2).
Intensities are scaled so that the largest is 100.

Atomic structure:
```
ZnIr17
1.0
5.4442 0.0000 0.0000
-2.7221 4.7148 0.0000
0.0000 0.0000 33.0514
Zn Ir
2 34
Direct
0.3333 0.6667 0.2782
0.6667 0.3333 0.7218
0.0000 0.0000 0.0000
0.0000 0.0000 0.2038
0.0000 0.0000 0.7962
0.0000 0.5000 0.0000
0.0017 0.5008 0.2031
0.1665 0.3330 0.7307
0.1665 0.8335 0.7307
0.1667 0.3335 0.9321
0.1668 0.3336 0.1358
0.1668 0.8332 0.1358
0.1667 0.8333 0.9321
0.3330 0.1665 0.2693
0.3335 0.1667 0.0679
0.3333 0.6667 0.0676
0.3333 0.6667 0.8649
0.3336 0.1668 0.8642
0.4992 0.5008 0.2031
0.4992 0.9983 0.2031
0.5000 0.0000 0.0000
0.5000 0.5000 0.0000
0.5008 0.0017 0.7969
0.5008 0.4992 0.7969
0.6664 0.8332 0.1358
0.6667 0.3333 0.1351
0.6667 0.3333 0.9324
0.6665 0.8333 0.9321
0.6670 0.8335 0.7307
0.8333 0.1667 0.0679
0.8332 0.1668 0.8642
0.8332 0.6664 0.8642
0.8333 0.6665 0.0679
0.8335 0.1665 0.2693
0.8335 0.6670 0.2693
0.9983 0.4992 0.7969
```

Most intense lines, 2θ = 10–90°, in order of falling intensity:
| 2theta | d [Å] | Rel. int. |
| --- | --- | --- |
| 40.6 | 2.220 | 100 |
| 47.4 | 1.919 | 63 |
| 39.8 | 2.267 | 37 |
| 41.0 | 2.203 | 31 |
| 45.7 | 1.984 | 30 |
| 83.5 | 1.158 | 24 |
| 69.0 | 1.361 | 22 |
| 41.7 | 2.167 | 21 |
| 38.1 | 2.361 | 19 |
| 69.5 | 1.353 | 19 |

=====

(3)
Diffraction record for ZnIr17. The powder XRD pattern is computed, not measured: it uses a crystal structure in OQMD, relaxed with GGA-PBE and Cu Kα (weighted mean of Kα1 and Kα2).
Intensities are scaled so that the largest is 100.

Atomic structure:
```
ZnIr17
1.0
4.7076 0.0000 0.0000
0.0000 5.4388 0.0000
-0.0187 0.0000 33.0936
Zn Ir
2 34
Direct
0.1662 0.2500 0.2207
0.8338 0.7500 0.7793
0.0000 0.0000 0.5000
0.0003 0.0022 0.2973
0.0003 0.4978 0.2973
0.0000 0.5000 0.5000
0.9997 0.5022 0.7027
0.9997 0.9978 0.7027
0.1663 0.7500 0.4326
0.1655 0.7500 0.6356
0.1667 0.2500 0.4319
0.1688 0.2500 0.6352
0.1688 0.7500 0.2310
0.3327 0.9999 0.3643
0.3332 0.0006 0.5678
0.3332 0.4994 0.5678
0.3327 0.5001 0.3643
0.3334 0.5015 0.7691
0.3334 0.9985 0.7691
0.4980 0.2500 0.2966
0.5000 0.2500 0.4998
0.4997 0.2500 0.7032
0.5003 0.7500 0.2968
0.5000 0.7500 0.5002
0.5020 0.7500 0.7034
0.6673 0.0001 0.6357
0.6666 0.0015 0.2309
0.6666 0.4985 0.2309
0.6673 0.4999 0.6357
0.6668 0.5006 0.4322
0.6668 0.9994 0.4322
0.8312 0.2500 0.7690
0.8312 0.7500 0.3648
0.8333 0.7500 0.5681
0.8345 0.2500 0.3644
0.8337 0.2500 0.5674
```

Most intense lines, 2θ = 10–90°, in order of falling intensity:
| 2theta | d [Å] | Rel. int. |
| --- | --- | --- |
| 40.7 | 2.218 | 100 |
| 47.4 | 1.918 | 63 |
| 39.8 | 2.265 | 36 |
| 69.1 | 1.359 | 33 |
| 40.9 | 2.206 | 31 |
| 45.8 | 1.983 | 30 |
| 83.5 | 1.157 | 24 |
| 41.7 | 2.165 | 21 |
| 38.1 | 2.364 | 19 |
| 69.4 | 1.354 | 13 |